[1]
Simulated XRD peak list of Np2Al3Au3 for Cu Kα, 1.54184 Å, from a structure optimized by DFT (GGA-PBE).
Peak positions follow from Bragg's law for the DFT cell and can differ from measured ones.

The 10 most intense peaks (15° ≤ 2θ ≤ 90°), by intensity:
2theta, Rel. int., (hkl)
38.21, 100.0, 1 1 1
38.39, 61.7, 3 0 0
21.88, 53.0, 1 1 0
55.28, 28.6, 2 2 1
69.31, 27.8, 4 1 1
25.32, 25.0, 2 0 0
33.71, 19.9, 2 1 0
77.58, 16.6, 3 0 2
46.40, 13.6, 2 1 1
33.51, 13.2, 1 0 1

Structural model:
```
data_Np2Al3Au3
_chemical_formula_sum 'Np2 Al3 Au3'
_cell_length_a 8.1226
_cell_length_b 8.1226
_cell_length_c 2.8915
_cell_angle_alpha 90.00
_cell_angle_beta 90.00
_cell_angle_gamma 120.00
_symmetry_space_group_name_H-M 'P -6 2 m'
_symmetry_Int_Tables_number 189
_symmetry_space_group_name_Hall 'P -6 -2'
loop_
_atom_site_label
_atom_site_fract_x
_atom_site_fract_y
_atom_site_fract_z
Np1 0.3333 0.6667 0.0000
Al1 0.0000 0.2489 0.0000
Au1 0.0000 0.6988 0.5000
```

=====

[2]
Simulated XRD peak list of TlCd2PdBr for Cu Kα, 1.54184 Å, from a structure optimized by DFT (GGA-PBE).
Peak positions follow from Bragg's law for the DFT cell and can differ from measured ones.

The 10 most intense peaks (15° ≤ 2θ ≤ 90°), by intensity:
2theta, Rel. int., (hkl)
31.98, 100.0, 2 0 0
15.83, 71.0, 1 0 0
47.67, 64.9, 2 0 2
34.39, 41.1, 0 0 2
45.86, 36.4, 2 2 0
28.31, 35.9, 1 1 1
58.55, 34.7, 2 2 2
23.31, 34.0, 1 0 1
17.00, 33.3, 0 0 1
86.19, 23.7, 4 2 2

Structural model:
```
data_TlCd2PdBr
_chemical_formula_sum 'Tl1 Cd2 Pd1 Br1'
_cell_length_a 5.5971
_cell_length_b 5.5971
_cell_length_c 5.2156
_cell_angle_alpha 90.00
_cell_angle_beta 90.00
_cell_angle_gamma 90.00
_symmetry_space_group_name_H-M 'P 4/m m m'
_symmetry_Int_Tables_number 123
_symmetry_space_group_name_Hall '-P 4 2'
loop_
_atom_site_label
_atom_site_fract_x
_atom_site_fract_y
_atom_site_fract_z
Tl1 0.0000 0.0000 0.0000
Cd1 0.0000 0.5000 0.0000
Pd1 0.0000 0.0000 0.5000
Br1 0.5000 0.5000 0.5000
```

=====

[3]
Simulated XRD peak list of BaBe5P4 for Cu Kα, 1.54184 Å, from a structure optimized by DFT (GGA-PBE).
Peak positions follow from Bragg's law for the DFT cell and can differ from measured ones.

The 10 most intense peaks (15° ≤ 2θ ≤ 90°), by intensity:
2theta, Rel. int., (hkl)
30.71, 100.0, 2 1 1
26.60, 81.4, 1 2 1
15.79, 72.4, 1 1 0
18.81, 49.0, 1 0 1
32.10, 46.8, 1 1 2
33.65, 41.3, 0 2 2
18.64, 39.8, 0 2 0
30.98, 39.5, 1 3 0
40.99, 23.6, 2 3 1
23.25, 22.6, 0 2 1

Structural model:
```
data_BaBe5P4
_chemical_formula_sum 'Ba2 Be10 P8'
_cell_length_a 6.9515
_cell_length_b 9.5205
_cell_length_c 6.4260
_cell_angle_alpha 90.00
_cell_angle_beta 90.00
_cell_angle_gamma 90.00
_symmetry_space_group_name_H-M 'P m m n'
_symmetry_Int_Tables_number 59
loop_
_symmetry_equiv_pos_as_xyz
'x,y,z'
'-x,-y,-z'
'-x+1/2,-y+1/2,z'
'x+1/2,y+1/2,-z'
'x+1/2,-y,-z'
'-x+1/2,y,z'
'-x,y+1/2,-z'
'x,-y+1/2,z'
loop_
_atom_site_label
_atom_site_fract_x
_atom_site_fract_y
_atom_site_fract_z
Ba1 0.2500 0.2500 0.2371
Be1 0.0090 0.0819 0.6305
Be2 0.2500 0.7500 0.3431
P1 0.0125 0.2500 0.8237
P2 0.2500 0.5516 0.5558
```

=====

[4]
Simulated XRD peak list of AlSiMo for Cu Kα, 1.54184 Å, from a structure optimized by DFT (GGA-PBE).
Peak positions follow from Bragg's law for the DFT cell and can differ from measured ones.

The 10 most intense peaks (15° ≤ 2θ ≤ 90°), by intensity:
2theta, Rel. int., (hkl)
42.83, 100.0, 1 0 3
39.58, 64.0, 1 1 0
29.72, 57.4, 1 0 1
74.04, 38.6, 2 1 3
21.18, 36.2, 0 0 2
57.21, 21.0, 2 0 0
45.31, 19.2, 1 1 2
80.62, 14.8, 1 1 6
65.80, 11.1, 2 1 1
62.40, 8.1, 1 0 5

Structural model:
```
data_AlSiMo
_chemical_formula_sum 'Al2 Si2 Mo2'
_cell_length_a 3.2202
_cell_length_b 3.2202
_cell_length_c 8.3908
_cell_angle_alpha 90.00
_cell_angle_beta 90.00
_cell_angle_gamma 90.00
_symmetry_space_group_name_H-M 'I 4 m m'
_symmetry_Int_Tables_number 107
_symmetry_space_group_name_Hall 'I 4 -2'
loop_
_atom_site_label
_atom_site_fract_x
_atom_site_fract_y
_atom_site_fract_z
Al1 0.0000 0.0000 0.0000
Si1 0.0000 0.0000 0.3281
Mo1 0.0000 0.0000 0.6768
```

=====

[5]
Simulated XRD peak list of NaNdTi4O12 for Cu Kα, 1.54184 Å, from a structure optimized by DFT (GGA-PBE).
Peak positions follow from Bragg's law for the DFT cell and can differ from measured ones.

The 10 most intense peaks (15° ≤ 2θ ≤ 90°), by intensity:
2theta, Rel. int., (hkl)
19.82, 100.0, 1 0 1
32.52, 84.2, 1 1 2
47.19, 49.7, 2 2 0
16.27, 42.8, 1 0 0
32.88, 41.7, 2 0 0
38.69, 35.4, 2 1 1
25.75, 32.8, 1 1 1
58.48, 31.2, 3 1 2
68.12, 26.0, 2 2 4
46.12, 25.0, 0 0 4

Structural model:
```
data_NaNdTi4O12
_chemical_formula_sum 'Na1 Nd1 Ti4 O12'
_cell_length_a 5.4475
_cell_length_b 5.4475
_cell_length_c 7.8727
_cell_angle_alpha 90.00
_cell_angle_beta 90.00
_cell_angle_gamma 90.00
_symmetry_space_group_name_H-M 'P 4/m m m'
_symmetry_Int_Tables_number 123
_symmetry_space_group_name_Hall '-P 4 2'
loop_
_atom_site_label
_atom_site_fract_x
_atom_site_fract_y
_atom_site_fract_z
Na1 0.0000 0.0000 0.0000
Nd1 0.5000 0.5000 0.5000
Ti1 0.0000 0.5000 0.2383
O1 0.0000 0.5000 0.0000
O2 0.0000 0.5000 0.5000
O3 0.2566 0.2566 0.2675
```

=====

[6]
Simulated XRD peak list of Nd4Pu3Se8 for Cu Kα, 1.54184 Å, from a structure optimized by DFT (GGA-PBE).
Peak positions follow from Bragg's law for the DFT cell and can differ from measured ones.

The 10 most intense peaks (15° ≤ 2θ ≤ 90°), by intensity:
2theta, Rel. int., (hkl)
30.20, 100.0, 0 4 0
43.22, 62.8, 4 0 0
71.23, 28.7, 4 0 2
26.08, 20.9, 2 2 0
79.25, 17.2, 4 8 0
53.59, 13.4, 4 4 0
53.69, 13.3, 4 4 -4
43.31, 12.5, 4 0 -4
62.80, 12.5, 0 8 0
51.19, 11.0, 6 2 -4

Structural model:
```
data_Nd4Pu3Se8
_chemical_formula_sum 'Nd8 Pu6 Se16'
_cell_length_a 11.8341
_cell_length_b 11.8432
_cell_length_c 8.3569
_cell_angle_alpha 90.00
_cell_angle_beta 134.92
_cell_angle_gamma 90.00
_symmetry_space_group_name_H-M 'C 1 2/m 1'
_symmetry_Int_Tables_number 12
loop_
_symmetry_equiv_pos_as_xyz
'x,y,z'
'-x,-y,-z'
'-x,y,-z'
'x,-y,z'
'x+1/2,y+1/2,z'
'-x+1/2,-y+1/2,-z'
'-x+1/2,y+1/2,-z'
'x+1/2,-y+1/2,z'
loop_
_atom_site_label
_atom_site_fract_x
_atom_site_fract_y
_atom_site_fract_z
Nd1 0.0000 0.0000 0.0000
Nd2 0.0000 0.5000 0.5000
Nd3 0.2500 0.2500 0.0000
Pu1 0.0000 0.0000 0.5000
Pu2 0.2500 0.2500 0.5000
Se1 0.0000 0.2479 0.5000
Se2 0.0000 0.2530 0.0000
Se3 0.2487 0.5000 0.0045
Se4 0.2488 0.5000 0.4947
```

=====

[7]
Simulated XRD peak list of Al4GaTe7 for Cu Kα, 1.54184 Å, from a structure optimized by DFT (GGA-PBE).
Peak positions follow from Bragg's law for the DFT cell and can differ from measured ones.

The 10 most intense peaks (15° ≤ 2θ ≤ 90°), by intensity:
2theta, Rel. int., (hkl)
28.83, 100.0, 4 1 1
26.97, 63.6, 0 2 1
25.36, 62.0, 0 0 2
25.83, 32.6, 4 1 0
46.89, 29.0, 4 1 3
50.62, 28.5, 4 3 2
43.05, 26.2, 4 3 0
45.69, 23.9, 0 2 3
36.51, 22.9, 4 1 2
23.75, 20.9, 0 2 0

Structural model:
```
data_Al4GaTe7
_chemical_formula_sum 'Al8 Ga2 Te14'
_cell_length_a 15.5431
_cell_length_b 7.4938
_cell_length_c 7.0254
_cell_angle_alpha 90.00
_cell_angle_beta 90.00
_cell_angle_gamma 90.00
_symmetry_space_group_name_H-M 'P m n 21'
_symmetry_Int_Tables_number 31
loop_
_symmetry_equiv_pos_as_xyz
'x,y,z'
'-x+1/2,-y,z+1/2'
'-x,y,z'
'x+1/2,-y,z+1/2'
loop_
_atom_site_label
_atom_site_fract_x
_atom_site_fract_y
_atom_site_fract_z
Al1 0.1235 0.1756 0.0000
Al2 0.2489 0.6701 0.9947
Ga1 0.0000 0.8080 0.4863
Te1 0.0000 0.3601 0.8509
Te2 0.1129 0.1617 0.3763
Te3 0.1127 0.8428 0.8707
Te4 0.2303 0.6678 0.3783
```

=====

[8]
Simulated XRD peak list of Zr4Sc2Pa for Cu Kα, 1.54184 Å, from a structure optimized by DFT (GGA-PBE).
Peak positions follow from Bragg's law for the DFT cell and can differ from measured ones.

The 10 most intense peaks (15° ≤ 2θ ≤ 90°), by intensity:
2theta, Rel. int., (hkl)
35.97, 100.0, 2 0 -4
34.03, 65.3, 0 0 7
36.80, 62.6, 1 1 -4
32.03, 40.4, 1 1 0
57.01, 39.3, 0 2 0
36.67, 32.1, 2 0 3
68.15, 29.5, 0 2 7
32.16, 22.1, 1 1 -1
33.02, 17.7, 2 0 1
67.95, 14.8, 3 1 6

Structural model:
```
data_Zr4Sc2Pa
_chemical_formula_sum 'Zr8 Sc4 Pa2'
_cell_length_a 5.6013
_cell_length_b 3.2280
_cell_length_c 18.5257
_cell_angle_alpha 90.00
_cell_angle_beta 95.57
_cell_angle_gamma 90.00
_symmetry_space_group_name_H-M 'C 1 m 1'
_symmetry_Int_Tables_number 8
loop_
_symmetry_equiv_pos_as_xyz
'x,y,z'
'x,-y,z'
'x+1/2,y+1/2,z'
'x+1/2,-y+1/2,z'
loop_
_atom_site_label
_atom_site_fract_x
_atom_site_fract_y
_atom_site_fract_z
Zr1 0.0000 0.0000 0.0000
Zr2 0.0213 0.5000 0.5669
Zr3 0.0938 0.0000 0.2814
Zr4 0.1203 0.5000 0.8584
Sc1 0.2159 0.5000 0.1402
Sc2 0.3088 0.5000 0.4215
Pa1 0.3999 0.5000 0.7120
```